Diffraction record for Li2Co4OF8. The PXRD pattern is theoretical, not measured: it uses a structure optimized by DFT (PBE+U) and Cu Kα, 1.54184 Å.
No peak broadening, texture or thermal motion is included.

Principal peaks in the range 10 to 80 degrees two-theta, in order of rising 2θ:
d/Å, I (rel.), hkl
6.285, 100, 1 0 0
6.150, 98, 0 1 1
5.652, 96, 1 1 1
3.687, 56, 0 1 2
3.075, 58, 0 2 2
2.863, 93, 2 2 1
2.841, 99, 0 1 -2
2.767, 59, 2 -1 1

Crystal structure
abc: 6.929 7.889 8.208
angles: 67.27 65.81 75.65
Fractional positions:
1 Li 0.115 0.261 0.426
2 Li 0.240 0.769 0.883
3 Li 0.760 0.231 0.117
4 Li 0.885 0.739 0.574
5 Co 0.187 0.439 0.755
6 Co 0.274 0.097 0.055
7 Co 0.346 0.609 0.266
8 Co 0.462 0.862 0.422
9 Co 0.538 0.138 0.578
10 Co 0.654 0.391 0.734
11 Co 0.726 0.903 0.945
12 Co 0.813 0.561 0.245
13 O 0.428 0.230 0.796
14 O 0.572 0.770 0.204
15 F 0.034 0.291 0.041
16 F 0.118 0.506 0.248
17 F 0.203 0.697 0.511
18 F 0.237 0.849 0.075
19 F 0.269 0.086 0.299
20 F 0.285 0.347 0.514
21 F 0.322 0.956 0.648
22 F 0.382 0.562 0.809
23 F 0.618 0.438 0.191
24 F 0.678 0.044 0.352
25 F 0.715 0.653 0.486
26 F 0.731 0.914 0.701
27 F 0.763 0.151 0.925
28 F 0.797 0.303 0.489
29 F 0.882 0.494 0.752
30 F 0.966 0.709 0.959